# NdMgCu5
Computed powder diffractogram, copper Kα. Input: a crystal structure in Alexandria, relaxed with GGA-PBE.

Atomic structure:
```
data_NdMgCu5
_cell_length_a 8.3282
_cell_length_b 5.1133
_cell_length_c 10.5488
_cell_angle_alpha 90.00
_cell_angle_beta 90.00
_cell_angle_gamma 90.00
_symmetry_space_group_name_H-M 'P n m a'
_symmetry_Int_Tables_number 62
_symmetry_space_group_name_Hall '-P 2ac 2n'
loop_
_atom_site_label
_atom_site_fract_x
_atom_site_fract_y
_atom_site_fract_z
Nd1 0.2461 0.2500 0.0597
Mg1 0.1382 0.7500 0.8618
Cu1 0.0532 0.7500 0.1078
Cu2 0.0677 0.0030 0.3126
Cu3 0.0861 0.2500 0.5162
Cu4 0.1848 0.2500 0.7440
```

Peak list (6 most intense, 2θ from 10° to 90°, sorted by position)
- 2θ 35.71, I 229, hkl 1 0 4
- 2θ 37.84, I 1000, hkl 3 1 1
- 2θ 40.70, I 186, hkl 1 2 2
- 2θ 44.33, I 428, hkl 1 0 5
- 2θ 45.19, I 251, hkl 1 2 3
- 2θ 64.78, I 187, hkl 3 3 1

# Ce6Tc2Pd
Computed powder diffractogram, copper Kα. Input: a crystal structure in Alexandria, relaxed with GGA-PBE.

Atomic structure:
```
data_Ce6Tc2Pd
_cell_length_a 10.0841
_cell_length_b 4.9761
_cell_length_c 8.5102
_cell_angle_alpha 90.00
_cell_angle_beta 98.85
_cell_angle_gamma 90.00
_symmetry_space_group_name_H-M 'C 1 2/m 1'
_symmetry_Int_Tables_number 12
_symmetry_space_group_name_Hall '-C 2y'
loop_
_atom_site_label
_atom_site_fract_x
_atom_site_fract_y
_atom_site_fract_z
Ce1 0.0443 0.0000 0.3493
Ce2 0.1143 0.5000 0.6778
Ce3 0.1840 0.5000 0.1007
Tc1 0.2243 0.5000 0.3810
Pd1 0.0000 0.0000 0.0000
```

Peak list (6 most intense, 2θ from 10° to 90°, sorted by position)
- 2θ 31.93, I 373, hkl 0 0 3
- 2θ 32.41, I 1000, hkl 3 1 0
- 2θ 32.80, I 584, hkl 3 1 -1
- 2θ 36.10, I 753, hkl 0 2 0
- 2θ 39.14, I 319, hkl 1 1 3
- 2θ 42.93, I 295, hkl 3 1 -3

# CaAg6Au4
Computed powder diffractogram, copper Kα. Input: a crystal structure in Alexandria, relaxed with GGA-PBE.

Atomic structure:
```
data_CaAg6Au4
_cell_length_a 6.8966
_cell_length_b 6.8966
_cell_length_c 10.3188
_cell_angle_alpha 90.00
_cell_angle_beta 90.00
_cell_angle_gamma 90.00
_symmetry_space_group_name_H-M 'I -4 2 m'
_symmetry_Int_Tables_number 121
_symmetry_space_group_name_Hall 'I -4 2'
loop_
_atom_site_label
_atom_site_fract_x
_atom_site_fract_y
_atom_site_fract_z
Ca1 0.0000 0.0000 0.0000
Ag1 0.0000 0.5000 0.0000
Ag2 0.1517 0.1517 0.3976
Au1 0.2414 0.2414 0.6588
```

Peak list (6 most intense, 2θ from 10° to 90°, sorted by position)
- 2θ 25.13, I 661, hkl 1 1 2
- 2θ 25.84, I 674, hkl 2 0 0
- 2θ 36.86, I 741, hkl 2 2 0
- 2θ 39.52, I 675, hkl 1 1 4
- 2θ 43.83, I 624, hkl 2 0 4
- 2θ 45.14, I 1000, hkl 3 1 2

What did the third record say?
# CaAg6Au4
Computed powder diffractogram, copper Kα. Input: a crystal structure in Alexandria, relaxed with GGA-PBE.

Atomic structure:
```
data_CaAg6Au4
_cell_length_a 6.8966
_cell_length_b 6.8966
_cell_length_c 10.3188
_cell_angle_alpha 90.00
_cell_angle_beta 90.00
_cell_angle_gamma 90.00
_symmetry_space_group_name_H-M 'I -4 2 m'
_symmetry_Int_Tables_number 121
_symmetry_space_group_name_Hall 'I -4 2'
loop_
_atom_site_label
_atom_site_fract_x
_atom_site_fract_y
_atom_site_fract_z
Ca1 0.0000 0.0000 0.0000
Ag1 0.0000 0.5000 0.0000
Ag2 0.1517 0.1517 0.3976
Au1 0.2414 0.2414 0.6588
```

Peak list (6 most intense, 2θ from 10° to 90°, sorted by position)
- 2θ 25.13, I 661, hkl 1 1 2
- 2θ 25.84, I 674, hkl 2 0 0
- 2θ 36.86, I 741, hkl 2 2 0
- 2θ 39.52, I 675, hkl 1 1 4
- 2θ 43.83, I 624, hkl 2 0 4
- 2θ 45.14, I 1000, hkl 3 1 2